1.
Structure and calculated powder diffraction line list of BaZrO3 (a crystal structure in Alexandria, relaxed with PBE; Cu Kα X-rays).
Lines closer than 0.1° are merged.

Most intense lines, 2θ from 10° to 90°, sorted by position:
Position (°2θ)	d/Å	intensity	h k l
29.70	3.008	100.0	2 0 0
36.59	2.456	6.7	2 0 2
42.50	2.127	31.6	0 0 4
52.71	1.737	40.4	3 1 2
61.68	1.504	19.5	2 2 4
69.86	1.346	5.8	1 1 6
69.98	1.344	11.6	4 2 0
77.78	1.228	6.4	4 0 4
85.37	1.137	14.1	4 2 4
85.44	1.136	6.9	5 1 2

Structure:
Cell: 6.0120 6.0120 8.5171 Å, 90.00 90.00 90.00°
Space group I4/mcm (No. 140)
Inequivalent atoms, fractional coordinates:
Ba 0.0000 0.5000 0.2500 (multiplicity 4)
Zr 0.0000 0.0000 0.0000 (multiplicity 4)
O 0.0000 0.0000 0.2500 (multiplicity 4)
O 0.2346 0.2654 0.0000 (multiplicity 8)

2.
Structure and calculated powder diffraction line list of Th4BiOs (a crystal structure in Alexandria, relaxed with PBE; Cu Kα X-rays).
Lines closer than 0.1° are merged.

Most intense lines, 2θ from 10° to 90°, sorted by position:
Position (°2θ)	d/Å	intensity	h k l
30.16	2.963	100.0	2 1 1
33.14	2.703	35.8	1 1 2
37.32	2.409	39.8	2 0 2
37.86	2.376	43.5	3 1 0
51.43	1.777	23.4	2 1 3
52.26	1.750	12.0	4 1 1
57.13	1.612	14.6	4 0 2
58.81	1.570	11.2	0 0 4
59.96	1.543	22.0	3 3 2
72.10	1.310	15.9	3 1 4

Structure:
Cell: 7.5149 7.5149 6.2798 Å, 90.00 90.00 90.00°
Space group P4/mcc (No. 124)
Inequivalent atoms, fractional coordinates:
Th 0.1389 0.3163 0.0000 (multiplicity 8)
Bi 0.5000 0.5000 0.2500 (multiplicity 2)
Os 0.0000 0.0000 0.2500 (multiplicity 2)